Diffraction record for MgHg5Pb4. The powder XRD pattern is theoretical, not measured: it uses a GGA-PBE-relaxed structure and Cu Kα, 1.54184 Å.
Kinematic intensities with the Lorentz-polarization factor, no thermal factor.

Top 12 peaks for 2θ = 15–90°, sorted by position:
hkl 2 1 1, 30.2 deg, rel. 100
hkl 1 2 0, 30.3 deg, rel. 40
hkl -1 1 1, 30.5 deg, rel. 50
hkl 1 1 3, 31.6 deg, rel. 44
hkl 0 0 3, 32.1 deg, rel. 74
hkl 2 1 2, 32.4 deg, rel. 39
hkl 0 2 1, 33.1 deg, rel. 51
hkl 2 0 1, 33.6 deg, rel. 28
hkl 1 -1 2, 34.1 deg, rel. 90
hkl 1 2 -1, 34.7 deg, rel. 59
hkl 2 1 -1, 36.5 deg, rel. 61
hkl 1 2 3, 38.3 deg, rel. 54

Structure:
a = 5.938 Å, b = 6.134 Å, c = 8.819 Å
α = 76.47°, β = 72.79°, γ = 64.31°
Positions (direct):
Mg 0.000 0.000 0.000
Hg 0.131 0.018 0.304
Hg 0.286 0.034 0.659
Hg 0.479 0.558 0.900
Hg 0.528 0.014 0.969
Hg 0.955 0.480 0.053
Pb 0.024 0.636 0.666
Pb 0.399 0.415 0.287
Pb 0.702 0.278 0.597
Pb 0.718 0.777 0.355